Diffraction record for Dy3Bi2Rh. The X-ray powder pattern is theoretical, not measured: it uses a crystal structure in Alexandria, relaxed with GGA-PBE and λ = 1.5418 Å (Cu Kα).
No peak broadening, texture or thermal motion is included.

Peak list (6 most intense, 15 to 90 degrees two-theta, sorted by position)
| 2θ/deg | intensity | index |
| --- | --- | --- |
| 28.9 | 57 | 0 2 0 |
| 29.3 | 100 | 1 0 3 |
| 41.6 | 78 | 1 2 3 |
| 43.2 | 19 | 2 0 0 |
| 52.8 | 22 | 2 2 0 |
| 68.0 | 19 | 1 4 3 |

Crystal structure
Cell lengths 4.1856, 6.1861, 13.3402 Å; angles 90.00, 90.00, 90.00 degrees
Space group Immm (No. 71)
Inequivalent atoms, fractional coordinates:
Dy: 0.0000 0.0000 0.0000 (multiplicity 2)
Dy: 0.0000 0.0000 0.3596 (multiplicity 4)
Bi: 0.0000 0.5000 0.3233 (multiplicity 4)
Rh: 0.0000 0.5000 0.0000 (multiplicity 2)



Diffraction record for PmGdPt. The X-ray powder pattern is theoretical, not measured: it uses a crystal structure in Alexandria, relaxed with GGA-PBE and λ = 1.5418 Å (Cu Kα).
No peak broadening, texture or thermal motion is included.

Peak list (6 most intense, 15 to 90 degrees two-theta, sorted by position)
| 2θ/deg | intensity | index |
| --- | --- | --- |
| 22.0 | 36 | 1 1 1 |
| 36.3 | 100 | 2 2 0 |
| 42.8 | 19 | 3 1 1 |
| 52.3 | 18 | 4 0 0 |
| 65.3 | 36 | 4 2 2 |
| 88.3 | 17 | 6 2 0 |

Crystal structure
Cell lengths 7.0001, 7.0001, 7.0001 Å; angles 90.00, 90.00, 90.00 degrees
Space group F-43m (No. 216)
Inequivalent atoms, fractional coordinates:
Pm: 0.0000 0.0000 0.0000 (multiplicity 4)
Gd: 0.0000 0.0000 0.5000 (multiplicity 4)
Pt: 0.2500 0.2500 0.2500 (multiplicity 4)



Diffraction record for Tb3PmTm12. The X-ray powder pattern is theoretical, not measured: it uses a crystal structure in Alexandria, relaxed with GGA-PBE and λ = 1.5418 Å (Cu Kα).
No peak broadening, texture or thermal motion is included.

Peak list (6 most intense, 15 to 90 degrees two-theta, sorted by position)
| 2θ/deg | intensity | index |
| --- | --- | --- |
| 31.2 | 100 | 1 1 4 |
| 36.2 | 51 | 2 0 0 |
| 52.1 | 36 | 2 2 0 |
| 62.0 | 43 | 3 1 4 |
| 85.2 | 18 | 3 3 4 |
| 88.0 | 17 | 4 2 0 |

Crystal structure
Cell lengths 4.9631, 4.9631, 19.8660 Å; angles 90.00, 90.00, 90.00 degrees
Space group P4/mmm (No. 123)
Inequivalent atoms, fractional coordinates:
Tb: 0.0000 0.0000 0.0000 (multiplicity 1)
Tb: 0.0000 0.0000 0.2494 (multiplicity 2)
Pm: 0.0000 0.0000 0.5000 (multiplicity 1)
Tm: 0.0000 0.5000 0.1246 (multiplicity 4)
Tm: 0.0000 0.5000 0.3739 (multiplicity 4)
Tm: 0.5000 0.5000 0.0000 (multiplicity 1)
Tm: 0.5000 0.5000 0.2491 (multiplicity 2)
Tm: 0.5000 0.5000 0.5000 (multiplicity 1)



Diffraction record for Sr2Hg5Pt5. The X-ray powder pattern is theoretical, not measured: it uses a crystal structure in Alexandria, relaxed with GGA-PBE and λ = 1.5418 Å (Cu Kα).
No peak broadening, texture or thermal motion is included.

Peak list (6 most intense, 15 to 90 degrees two-theta, sorted by position)
| 2θ/deg | intensity | index |
| --- | --- | --- |
| 17.7 | 60 | 0 0 2 |
| 35.8 | 26 | 0 0 4 |
| 36.7 | 100 | 1 1 3 |
| 39.5 | 34 | 2 0 0 |
| 41.1 | 76 | 1 2 2 |
| 78.2 | 28 | 2 4 0 |

Crystal structure
Cell lengths 4.5680, 5.7886, 10.0385 Å; angles 90.00, 90.00, 90.00 degrees
Space group Pmmm (No. 47)
Inequivalent atoms, fractional coordinates:
Sr: 0.0000 0.0000 0.0000 (multiplicity 1)
Sr: 0.0000 0.5000 0.5000 (multiplicity 1)
Hg: 0.0000 0.0000 0.3185 (multiplicity 2)
Hg: 0.0000 0.5000 0.1663 (multiplicity 2)
Hg: 0.5000 0.0000 0.5000 (multiplicity 1)
Pt: 0.5000 0.2520 0.2450 (multiplicity 4)
Pt: 0.5000 0.5000 0.0000 (multiplicity 1)



Diffraction record for KNpZn2O6. The X-ray powder pattern is theoretical, not measured: it uses a crystal structure in Alexandria, relaxed with GGA-PBE and λ = 1.5418 Å (Cu Kα).
No peak broadening, texture or thermal motion is included.

Peak list (6 most intense, 15 to 90 degrees two-theta, sorted by position)
| 2θ/deg | intensity | index |
| --- | --- | --- |
| 16.7 | 100 | 1 1 -1 |
| 24.8 | 53 | 2 2 0 |
| 25.8 | 36 | 2 2 -1 |
| 27.5 | 26 | 3 1 -1 |
| 28.7 | 24 | 0 0 2 |
| 32.3 | 30 | 1 3 1 |

Crystal structure
Cell lengths 10.5518, 10.2894, 6.5404 Å; angles 90.00, 107.76, 90.00 degrees
Space group C2/c (No. 15)
Inequivalent atoms, fractional coordinates:
K: 0.0000 0.0902 0.2500 (multiplicity 4)
Np: 0.0000 0.2852 0.7500 (multiplicity 4)
Zn: 0.1958 0.4320 0.1244 (multiplicity 8)
O: 0.0536 0.2917 0.0587 (multiplicity 8)
O: 0.1286 0.1385 0.7362 (multiplicity 8)
O: 0.1519 0.4337 0.7986 (multiplicity 8)



Diffraction record for CsGd2Cl7. The X-ray powder pattern is theoretical, not measured: it uses a crystal structure in Alexandria, relaxed with GGA-PBE and λ = 1.5418 Å (Cu Kα).
No peak broadening, texture or thermal motion is included.

Peak list (6 most intense, 15 to 90 degrees two-theta, sorted by position)
| 2θ/deg | intensity | index |
| --- | --- | --- |
| 18.9 | 100 | 2 1 1 |
| 25.0 | 43 | 0 2 0 |
| 33.6 | 21 | 3 0 4 |
| 35.7 | 33 | 4 2 0 |
| 38.3 | 22 | 1 2 4 |
| 40.0 | 25 | 5 1 3 |

Crystal structure
Cell lengths 14.2935, 7.0925, 12.8868 Å; angles 90.00, 90.00, 90.00 degrees
Space group Pnma (No. 62)
Inequivalent atoms, fractional coordinates:
Cs: 0.0327 0.2500 0.2048 (multiplicity 4)
Gd: 0.2419 0.2500 0.5497 (multiplicity 4)
Gd: 0.2472 0.2500 0.8538 (multiplicity 4)
Cl: 0.1168 0.7500 0.2003 (multiplicity 4)
Cl: 0.1320 0.0099 0.4343 (multiplicity 8)
Cl: 0.1351 0.0092 0.9689 (multiplicity 8)
Cl: 0.1789 0.0117 0.7026 (multiplicity 8)